# 1
Diffraction record for Zn6PdAu8. The powder X-ray diffraction pattern is calculated, not measured: it uses a cell relaxed with PBE and Cu Kα X-rays.
No peak broadening, texture or thermal motion is included.

Cell and atoms:
Cell: 6.932 6.932 6.932 Å, 66.24 66.24 66.24°
Positions (direct):
Zn1 0.119 0.778 0.436
Zn2 0.222 0.564 0.881
Zn3 0.436 0.119 0.778
Zn4 0.564 0.881 0.222
Zn5 0.778 0.436 0.119
Zn6 0.881 0.222 0.564
Pd1 0.500 0.500 0.500
Au1 0.054 0.385 0.718
Au2 0.180 0.180 0.180
Au3 0.282 0.946 0.615
Au4 0.385 0.718 0.054
Au5 0.615 0.282 0.946
Au6 0.718 0.054 0.385
Au7 0.820 0.820 0.820
Au8 0.946 0.615 0.282

Principal peaks in the range 2θ from 10° to 90°, by angle:
- d = 3.097 Å, 2θ = 28.83°, I = 90.8
- d = 2.193 Å, 2θ = 41.17°, I = 100.0
- d = 2.187 Å, 2θ = 41.29°, I = 99.3
- d = 1.786 Å, 2θ = 51.14°, I = 19.5
- d = 1.548 Å, 2θ = 59.73°, I = 33.2
- d = 1.263 Å, 2θ = 75.22°, I = 51.3

***

# 2
Diffraction record for PrNd8Ge3Te4. The powder X-ray diffraction pattern is calculated, not measured: it uses a cell relaxed with PBE and Cu Kα X-rays.
No peak broadening, texture or thermal motion is included.

Cell and atoms:
Cell: 9.056 9.056 9.056 Å, 58.46 58.46 58.46°
Positions (direct):
Pr1 0.000 0.000 0.000
Nd1 0.258 0.258 0.723
Nd2 0.258 0.723 0.258
Nd3 0.260 0.260 0.260
Nd4 0.277 0.742 0.742
Nd5 0.723 0.258 0.258
Nd6 0.740 0.740 0.740
Nd7 0.742 0.277 0.742
Nd8 0.742 0.742 0.277
Ge1 0.000 0.500 0.500
Ge2 0.500 0.000 0.500
Ge3 0.500 0.500 0.000
Te1 0.000 0.000 0.500
Te2 0.000 0.500 0.000
Te3 0.500 0.000 0.000
Te4 0.500 0.500 0.500

Principal peaks in the range 2θ from 10° to 90°, by angle:
- d = 3.163 Å, 2θ = 28.21°, I = 100.0
- d = 2.263 Å, 2θ = 39.84°, I = 38.0
- d = 2.211 Å, 2θ = 40.81°, I = 36.1
- d = 1.812 Å, 2θ = 50.35°, I = 19.0
- d = 1.428 Å, 2θ = 65.36°, I = 15.8
- d = 1.402 Å, 2θ = 66.73°, I = 15.5

***

# 3
Diffraction record for Ho4GaBi2. The powder X-ray diffraction pattern is calculated, not measured: it uses a cell relaxed with PBE and Cu Kα X-rays.
No peak broadening, texture or thermal motion is included.

Cell and atoms:
Cell: 7.785 12.148 4.575 Å, 90.00 90.00 90.00°
Positions (direct):
Ho1 0.146 0.213 0.000
Ho2 0.209 0.943 0.500
Ho3 0.291 0.443 0.500
Ho4 0.354 0.713 0.000
Ho5 0.646 0.287 0.000
Ho6 0.709 0.557 0.500
Ho7 0.791 0.057 0.500
Ho8 0.854 0.787 0.000
Ga1 0.000 0.000 0.000
Ga2 0.500 0.500 0.000
Bi1 0.078 0.674 0.500
Bi2 0.422 0.174 0.500
Bi3 0.578 0.826 0.500
Bi4 0.922 0.326 0.500

Principal peaks in the range 2θ from 10° to 90°, by angle:
- d = 2.880 Å, 2θ = 31.05°, I = 100.0
- d = 2.827 Å, 2θ = 31.64°, I = 97.4
- d = 2.664 Å, 2θ = 33.64°, I = 44.7
- d = 2.287 Å, 2θ = 39.39°, I = 38.6
- d = 2.069 Å, 2θ = 43.76°, I = 24.2
- d = 1.779 Å, 2θ = 51.37°, I = 27.7

***

# 4
Diffraction record for Cr2Ir7Ru2. The powder X-ray diffraction pattern is calculated, not measured: it uses a cell relaxed with PBE and Cu Kα X-rays.
No peak broadening, texture or thermal motion is included.

Cell and atoms:
Cell: 6.605 6.605 4.262 Å, 108.11 108.11 77.83°
Positions (direct):
Cr1 0.236 0.764 0.000
Cr2 0.764 0.236 0.000
Ir1 0.000 0.000 0.500
Ir2 0.004 0.597 0.299
Ir3 0.403 0.996 0.701
Ir4 0.424 0.424 0.661
Ir5 0.576 0.576 0.339
Ir6 0.597 0.004 0.299
Ir7 0.996 0.403 0.701
Ru1 0.173 0.173 0.172
Ru2 0.827 0.827 0.828

Principal peaks in the range 2θ from 10° to 90°, by angle:
- d = 3.114 Å, 2θ = 28.67°, I = 66.1
- d = 2.934 Å, 2θ = 30.47°, I = 27.4
- d = 2.320 Å, 2θ = 38.81°, I = 23.1
- d = 2.172 Å, 2θ = 41.59°, I = 100.0
- d = 2.074 Å, 2θ = 43.63°, I = 91.8
- d = 2.009 Å, 2θ = 45.12°, I = 21.7

***

# 5
Diffraction record for NaTlSn. The powder X-ray diffraction pattern is calculated, not measured: it uses a cell relaxed with PBE and Cu Kα X-rays.
No peak broadening, texture or thermal motion is included.

Cell and atoms:
Cell: 4.823 13.651 5.226 Å, 90.00 90.00 90.00°
Positions (direct):
Na1 0.000 0.000 0.000
Na2 0.000 0.500 0.500
Na3 0.500 0.000 0.500
Na4 0.500 0.500 0.000
Tl1 0.000 0.164 0.500
Tl2 0.000 0.836 0.500
Tl3 0.500 0.336 0.500
Tl4 0.500 0.664 0.500
Sn1 0.000 0.320 0.000
Sn2 0.000 0.680 0.000
Sn3 0.500 0.180 0.000
Sn4 0.500 0.820 0.000

Principal peaks in the range 2θ from 10° to 90°, by angle:
- d = 6.826 Å, 2θ = 12.97°, I = 38.3
- d = 3.431 Å, 2θ = 25.97°, I = 24.1
- d = 2.796 Å, 2θ = 32.01°, I = 100.0
- d = 2.613 Å, 2θ = 34.32°, I = 21.3
- d = 2.412 Å, 2θ = 37.28°, I = 17.1
- d = 2.275 Å, 2θ = 39.62°, I = 18.5

***

# 6
Diffraction record for Ce2Ge4Rh3. The powder X-ray diffraction pattern is calculated, not measured: it uses a cell relaxed with PBE and Cu Kα X-rays.
No peak broadening, texture or thermal motion is included.

Cell and atoms:
Cell: 7.826 6.710 5.631 Å, 78.17 57.06 44.77°
Positions (direct):
Ce1 0.128 0.128 0.872
Ce2 0.872 0.872 0.128
Ge1 0.171 0.506 0.494
Ge2 0.494 0.829 0.171
Ge3 0.506 0.171 0.829
Ge4 0.829 0.494 0.506
Rh1 0.000 0.000 0.500
Rh2 0.500 0.500 0.000
Rh3 0.500 0.500 0.500

Principal peaks in the range 2θ from 10° to 90°, by angle:
- d = 2.743 Å, 2θ = 32.64°, I = 25.7
- d = 2.419 Å, 2θ = 37.16°, I = 29.2
- d = 2.316 Å, 2θ = 38.89°, I = 100.0
- d = 2.249 Å, 2θ = 40.09°, I = 33.9
- d = 2.057 Å, 2θ = 44.03°, I = 29.6
- d = 1.499 Å, 2θ = 61.88°, I = 25.1